# DyHoGe4
Computed X-ray powder pattern, a wavelength of 1.5418 Å. Input: a DFT-relaxed cell (PBE, OQMD).

The 12 most intense peaks (15 to 90 degrees two-theta), sorted by position:
- 2θ = 25.28°, d = 3.523 Å, I 18.9
- 2θ = 27.61°, d = 3.231 Å, I 11.4
- 2θ = 33.45°, d = 2.679 Å, I 18.1
- 2θ = 35.66°, d = 2.518 Å, I 16.3
- 2θ = 36.02°, d = 2.493 Å, I 100.0
- 2θ = 40.80°, d = 2.212 Å, I 12.6
- 2θ = 44.75°, d = 2.025 Å, I 15.9
- 2θ = 46.32°, d = 1.960 Å, I 14.6
- 2θ = 51.09°, d = 1.788 Å, I 8.1
- 2θ = 66.38°, d = 1.408 Å, I 9.7
- 2θ = 76.75°, d = 1.242 Å, I 10.9
- 2θ = 79.05°, d = 1.211 Å, I 10.1

Cell and atoms:
```
6
Lattice="3.920 0.000 0.000 0.000 2.025 8.036 0.000 -2.025 8.036" Properties=species:S:1:pos:R:3 pbc="T T T"
Dy 0.000 0.000 0.000
Ho 1.960 0.000 3.325
Ge 0.000 0.000 5.724
Ge 0.000 0.000 10.551
Ge 1.960 0.000 8.870
Ge 1.960 0.000 13.661
```